The following is a theoretical powder XRD pattern of TlHgIO2. It was derived from a structure optimized by DFT (GGA-PBE), using copper Kα.

Main lines, low angle first (15° ≤ 2θ ≤ 90°):
2theta, d (Å), I_rel
24.52, 3.631, 98
25.73, 3.462, 93
29.63, 3.015, 100
39.64, 2.274, 93
42.40, 2.132, 49
49.59, 1.838, 31
50.26, 1.815, 60
61.80, 1.501, 26
67.81, 1.382, 24
75.70, 1.256, 30

Atomic structure:
Cell lengths 4.2636, 4.2636, 6.9243 Å; angles 90.00, 90.00, 90.00 degrees
Sites, in units of the cell vectors:
Tl1 0.0000 0.0000 0.0000
Hg1 0.5000 0.5000 0.5000
I1 0.0000 0.0000 0.5000
O1 0.0000 0.5000 0.0000
O2 0.5000 0.0000 0.0000

=====

The following is a theoretical powder XRD pattern of BaCePuO6. It was derived from a structure optimized by DFT (GGA-PBE), using copper Kα.

Main lines, low angle first (15° ≤ 2θ ≤ 90°):
2theta, d (Å), I_rel
16.38, 5.410, 28
23.79, 3.740, 100
29.90, 2.988, 56
34.28, 2.616, 22
38.57, 2.334, 26
45.22, 2.005, 51
49.55, 1.840, 27
53.08, 1.725, 18
64.01, 1.455, 13
72.24, 1.308, 12

Atomic structure:
Cell lengths 5.9762, 5.9762, 10.8204 Å; angles 90.00, 90.00, 120.00 degrees
Sites, in units of the cell vectors:
Ba1 0.0000 0.0000 0.0000
Ba2 0.0000 0.0000 0.5000
Ce1 0.3333 0.6667 0.2500
Ce2 0.6667 0.3333 0.7500
Pu1 0.3333 0.6667 0.7500
Pu2 0.6667 0.3333 0.2500
O1 0.0241 0.3879 0.6495
O2 0.0241 0.6363 0.8505
O3 0.3637 0.3879 0.8505
O4 0.3637 0.9759 0.6495
O5 0.3879 0.0241 0.1495
O6 0.3879 0.3637 0.3505
O7 0.6121 0.6363 0.6495
O8 0.6121 0.9759 0.8505
O9 0.6363 0.0241 0.3505
O10 0.6363 0.6121 0.1495
O11 0.9759 0.3637 0.1495
O12 0.9759 0.6121 0.3505

=====

The following is a theoretical powder XRD pattern of Ac2Mg2Cd15. It was derived from a structure optimized by DFT (GGA-PBE), using copper Kα.

Main lines, low angle first (15° ≤ 2θ ≤ 90°):
2theta, d (Å), I_rel
24.74, 3.598, 18
30.32, 2.948, 15
31.01, 2.884, 14
35.19, 2.550, 100
35.40, 2.536, 25
35.80, 2.508, 17
39.52, 2.281, 20
50.74, 1.799, 13
57.08, 1.614, 11
63.45, 1.466, 17

Atomic structure:
Cell lengths 7.7775, 7.7775, 7.7775 Å; angles 82.08, 82.08, 82.08 degrees
Sites, in units of the cell vectors:
Ac1 0.1633 0.1633 0.1633
Ac2 0.8367 0.8367 0.8367
Mg1 0.3999 0.3999 0.3999
Mg2 0.6001 0.6001 0.6001
Cd1 0.0000 0.5000 0.5000
Cd2 0.1428 0.1428 0.6566
Cd3 0.1428 0.6566 0.1428
Cd4 0.2082 0.5000 0.7918
Cd5 0.2082 0.7918 0.5000
Cd6 0.3434 0.8572 0.8572
Cd7 0.5000 0.0000 0.5000
Cd8 0.5000 0.2082 0.7918
Cd9 0.5000 0.5000 0.0000
Cd10 0.5000 0.7918 0.2082
Cd11 0.6566 0.1428 0.1428
Cd12 0.7918 0.2082 0.5000
Cd13 0.7918 0.5000 0.2082
Cd14 0.8572 0.3434 0.8572
Cd15 0.8572 0.8572 0.3434

=====

The following is a theoretical powder XRD pattern of BeCuPbAu6. It was derived from a structure optimized by DFT (GGA-PBE), using copper Kα.

Main lines, low angle first (15° ≤ 2θ ≤ 90°):
2theta, d (Å), I_rel
33.09, 2.707, 100
34.11, 2.629, 26
36.00, 2.495, 13
36.86, 2.438, 21
38.09, 2.363, 52
41.41, 2.181, 68
46.29, 1.961, 12
46.58, 1.950, 16
59.99, 1.542, 21
70.24, 1.340, 12

Atomic structure:
Cell lengths 7.9090, 7.9090, 7.9090 Å; angles 128.23, 113.06, 89.40 degrees
Sites, in units of the cell vectors:
Be1 0.0000 0.0000 0.0000
Be2 0.5000 0.0000 0.5000
Cu1 0.5000 0.0000 0.0000
Cu2 0.5000 0.5000 0.5000
Pb1 0.0428 0.7928 0.2500
Pb2 0.9572 0.2072 0.7500
Au1 0.1254 0.4115 0.2886
Au2 0.1254 0.8368 0.7139
Au3 0.2522 0.5022 0.7500
Au4 0.3283 0.0783 0.2500
Au5 0.3771 0.1632 0.7886
Au6 0.3771 0.5885 0.2139
Au7 0.6229 0.4115 0.7861
Au8 0.6229 0.8368 0.2114
Au9 0.6717 0.9217 0.7500
Au10 0.7478 0.4978 0.2500
Au11 0.8746 0.1632 0.2861
Au12 0.8746 0.5885 0.7114

=====

The following is a theoretical powder XRD pattern of Hf6GeSb2. It was derived from a structure optimized by DFT (GGA-PBE), using copper Kα.

Main lines, low angle first (15° ≤ 2θ ≤ 90°):
2theta, d (Å), I_rel
30.43, 2.938, 60
33.80, 2.652, 34
33.92, 2.643, 36
34.68, 2.586, 30
35.11, 2.556, 100
35.59, 2.522, 30
35.83, 2.506, 32
37.70, 2.386, 42
38.70, 2.327, 89
39.81, 2.264, 37

Atomic structure:
Cell lengths 5.6332, 7.6652, 10.6174 Å; angles 90.00, 120.51, 90.00 degrees
Sites, in units of the cell vectors:
Hf1 0.0510 0.1867 0.4449
Hf2 0.0510 0.3133 0.9449
Hf3 0.3157 0.0191 0.2080
Hf4 0.3157 0.4809 0.7080
Hf5 0.3258 0.6685 0.4497
Hf6 0.3258 0.8315 0.9497
Hf7 0.6742 0.1685 0.0503
Hf8 0.6742 0.3315 0.5503
Hf9 0.6843 0.5191 0.2920
Hf10 0.6843 0.9809 0.7920
Hf11 0.9490 0.6867 0.0551
Hf12 0.9490 0.8133 0.5551
Ge1 0.5000 0.0000 0.5000
Ge2 0.5000 0.5000 0.0000
Sb1 0.1591 0.1186 0.7471
Sb2 0.1591 0.3814 0.2471
Sb3 0.8409 0.6186 0.7529
Sb4 0.8409 0.8814 0.2529

=====

The following is a theoretical powder XRD pattern of Hg5S24. It was derived from a structure optimized by DFT (GGA-PBE), using copper Kα.

Main lines, low angle first (15° ≤ 2θ ≤ 90°):
2theta, d (Å), I_rel
15.24, 5.815, 87
16.41, 5.401, 100
19.41, 4.574, 75
21.43, 4.146, 52
23.70, 3.754, 51
24.26, 3.668, 50
24.84, 3.585, 62
26.18, 3.404, 77
28.43, 3.140, 55
30.65, 2.917, 47

Atomic structure:
Cell lengths 5.8769, 11.9254, 15.2915 Å; angles 88.33, 79.32, 77.26 degrees
Sites, in units of the cell vectors:
Hg1 0.0000 0.0000 0.0000
Hg2 0.0563 0.1524 0.4381
Hg3 0.1326 0.5572 0.7166
Hg4 0.4210 0.0931 0.5862
Hg5 0.5969 0.6524 0.6988
S1 0.1643 0.4901 0.9647
S2 0.1987 0.2795 0.6521
S3 0.2013 0.9327 0.7545
S4 0.2193 0.4627 0.4065
S5 0.2241 0.8453 0.2871
S6 0.2505 0.1890 0.1700
S7 0.2940 0.6461 0.9878
S8 0.4644 0.4737 0.4764
S9 0.4914 0.8539 0.1647
S10 0.5256 0.2599 0.1335
S11 0.6147 0.0643 0.7824
S12 0.6239 0.6132 0.9216
S13 0.6625 0.5916 0.3955
S14 0.6775 0.2616 0.2559
S15 0.6853 0.9071 0.5369
S16 0.7976 0.7774 0.1970
S17 0.8264 0.1633 0.7997
S18 0.8282 0.5228 0.0230
S19 0.8575 0.2670 0.6811
S20 0.9174 0.6068 0.4589
S21 0.9175 0.9185 0.2541
S22 0.9288 0.8871 0.7258
S23 0.9502 0.3348 0.2198
S24 0.9826 0.9135 0.5812